Calculated X-ray powder pattern
Compound: HoV2GaO8
Radiation: Cu Kα (weighted mean of Kα1 and Kα2)
Structure: a crystal structure in Alexandria, relaxed with PBE+U
Kinematic intensities with the Lorentz-polarization factor, no thermal factor.

Most intense lines, 2θ = 15–90°, sorted by position:
19.06 deg, intensity 40, (1 0 1); 25.94 deg, intensity 100, (2 0 0); 32.39 deg, intensity 13, (2 1 1); 33.79 deg, intensity 76, (1 1 2); 37.02 deg, intensity 17, (2 2 0); 41.96 deg, intensity 14, (3 0 1); 50.98 deg, intensity 61, (3 1 2); 53.35 deg, intensity 17, (4 0 0); 60.26 deg, intensity 13, (4 2 0); 64.66 deg, intensity 17, (3 3 2)

Cell: 6.869 6.869 6.334 Å, 90.00 90.00 90.00°
Space group I-4m2 (No. 119)
Symmetry-distinct sites (fractional):
Ho1 0.000 0.000 0.000 [2 per cell]
V1 0.000 0.000 0.500 [2 per cell]
V2 0.000 0.500 0.750 [2 per cell]
Ga1 0.000 0.500 0.250 [2 per cell]
O1 0.000 0.201 0.328 [8 per cell]
O2 0.000 0.311 0.929 [8 per cell]